Structure and computed powder diffractogram of Rb2Co4O7 (a cell relaxed with PBE+U; Cu Kα (λ = 1.5418 Å)).

Structural model:
Lattice parameters (Å, degrees): 5.1013 8.7869 6.8079 90.00 90.89 90.00
Space group C2/m (No. 12)
Symmetry-distinct sites (fractional):
Rb 0.0000 0.1670 0.0000 x4
Co 0.0000 0.1679 0.5000 x4
Co 0.0008 0.5000 0.7228 x4
O 0.0000 0.5000 0.0000 x2
O 0.1442 0.0000 0.6522 x4
O 0.1821 0.3209 0.6523 x8

Peak list (10 most intense, 2θ from 15° to 90°, most intense first)
hkl	2θ/deg	I_rel
1 3 0	35.34	100
2 0 0	35.19	49
0 2 2	33.30	48
1 1 -2	33.02	47
1 1 2	33.47	46
1 3 2	44.69	31
3 3 0	63.24	29
1 5 2	62.33	23
1 3 -4	65.82	22
0 0 2	26.18	19